For Ac3Pd2Pb3, the GGA-PBE geometry in Alexandria gives the computed powder XRD pattern in this record (Cu Ka).

Largest 12 diffraction maxima, in order of rising 2θ, 15° ≤ 2θ ≤ 90°:
| d [Å] | I/Imax |
| --- | --- |
| 3.275 | 30.1 |
| 3.077 | 100.0 |
| 2.991 | 58.1 |
| 2.947 | 34.9 |
| 2.817 | 18.5 |
| 2.769 | 57.3 |
| 2.708 | 55.2 |
| 2.643 | 50.1 |
| 2.442 | 60.4 |
| 2.117 | 30.4 |
| 1.587 | 15.8 |
| 1.411 | 20.2 |

a = 8.984 Å, b = 16.901 Å, c = 6.348 Å
α = 90.00°, β = 90.00°, γ = 90.00°
Space group Pnma (No. 62)
One atom of each set of equivalent atoms:
Ac 0.035 0.109 0.124 x8
Ac 0.171 0.250 0.634 x4
Pd 0.088 0.613 0.372 x8
Pb 0.179 0.750 0.623 x4
Pb 0.192 0.036 0.613 x8


For Ac4Pd2Pb, the GGA-PBE geometry in Alexandria gives the computed powder XRD pattern in this record (Cu Ka).

Largest 12 diffraction maxima, in order of rising 2θ, 15° ≤ 2θ ≤ 90°:
| d [Å] | I/Imax |
| --- | --- |
| 3.612 | 20.3 |
| 3.400 | 80.4 |
| 3.067 | 100.0 |
| 3.021 | 92.0 |
| 3.009 | 59.5 |
| 2.829 | 31.2 |
| 2.765 | 61.0 |
| 2.433 | 30.8 |
| 2.375 | 17.6 |
| 2.314 | 19.4 |
| 2.241 | 38.0 |
| 1.951 | 22.2 |

a = 9.536 Å, b = 16.433 Å, c = 7.683 Å
α = 90.00°, β = 128.34°, γ = 90.00°
Space group Cc (No. 9)
One atom of each set of equivalent atoms:
Ac 0.000 0.013 0.000 x4
Ac 0.025 0.442 0.858 x4
Ac 0.082 0.237 0.164 x4
Ac 0.249 0.191 0.806 x4
Pd 0.289 0.086 0.492 x4
Pd 0.378 0.336 0.171 x4
Pb 0.213 0.375 0.584 x4


For Ac3Pd4Pb4, the GGA-PBE geometry in Alexandria gives the computed powder XRD pattern in this record (Cu Ka).

Largest 12 diffraction maxima, in order of rising 2θ, 15° ≤ 2θ ≤ 90°:
| d [Å] | I/Imax |
| --- | --- |
| 2.982 | 31.5 |
| 2.962 | 100.0 |
| 2.815 | 80.3 |
| 2.675 | 21.0 |
| 2.624 | 44.3 |
| 2.403 | 41.0 |
| 2.266 | 39.9 |
| 2.223 | 13.2 |
| 1.804 | 15.4 |
| 1.659 | 16.8 |
| 1.649 | 26.5 |
| 1.422 | 19.9 |

a = 4.532 Å, b = 8.070 Å, c = 16.047 Å
α = 90.00°, β = 90.00°, γ = 90.00°
Space group Immm (No. 71)
One atom of each set of equivalent atoms:
Ac 0.000 0.000 0.000 x2
Ac 0.000 0.500 0.120 x4
Pd 0.000 0.000 0.217 x4
Pd 0.000 0.186 0.500 x4
Pb 0.000 0.302 0.330 x8


For Ac2ScPd6Pb, the GGA-PBE geometry in Alexandria gives the computed powder XRD pattern in this record (Cu Ka).

Largest 12 diffraction maxima, in order of rising 2θ, 15° ≤ 2θ ≤ 90°:
| d [Å] | I/Imax |
| --- | --- |
| 3.306 | 100.0 |
| 3.286 | 54.9 |
| 2.881 | 29.8 |
| 2.432 | 69.1 |
| 2.421 | 51.8 |
| 2.313 | 41.9 |
| 2.293 | 44.5 |
| 2.276 | 23.7 |
| 2.241 | 52.1 |
| 1.732 | 21.2 |
| 1.653 | 23.0 |
| 1.643 | 21.5 |

a = 5.754 Å, b = 6.975 Å, c = 7.036 Å
α = 81.07°, β = 65.90°, γ = 65.65°
Space group P-1 (No. 2)
One atom of each set of equivalent atoms:
Ac 0.245 0.221 0.289 x2
Sc 0.000 0.000 0.000 x1
Pd 0.244 0.581 0.925 x2
Pd 0.246 0.769 0.245 x2
Pd 0.260 0.230 0.753 x2
Pb 0.500 0.500 0.500 x1


For Ac2Sn3Pd6Pb, the GGA-PBE geometry in Alexandria gives the computed powder XRD pattern in this record (Cu Ka).

Largest 12 diffraction maxima, in order of rising 2θ, 15° ≤ 2θ ≤ 90°:
| d [Å] | I/Imax |
| --- | --- |
| 3.426 | 100.0 |
| 3.030 | 49.3 |
| 2.984 | 26.0 |
| 2.855 | 23.0 |
| 2.676 | 47.7 |
| 2.473 | 29.7 |
| 2.143 | 66.8 |
| 2.124 | 46.2 |
| 2.077 | 59.7 |
| 1.817 | 39.1 |
| 1.515 | 22.4 |
| 1.509 | 30.8 |

a = 4.286 Å, b = 4.286 Å, c = 17.115 Å
α = 90.00°, β = 90.00°, γ = 90.00°
Space group P4/mmm (No. 123)
One atom of each set of equivalent atoms:
Ac 0.000 0.000 0.193 x2
Sn 0.500 0.500 0.000 x1
Sn 0.500 0.500 0.305 x2
Pd 0.000 0.500 0.395 x4
Pd 0.500 0.500 0.149 x2
Pb 0.000 0.000 0.500 x1


For AcSnPd2Pb2, the GGA-PBE geometry in Alexandria gives the computed powder XRD pattern in this record (Cu Ka).

Largest 12 diffraction maxima, in order of rising 2θ, 15° ≤ 2θ ≤ 90°:
| d [Å] | I/Imax |
| --- | --- |
| 5.889 | 26.2 |
| 3.222 | 97.4 |
| 2.945 | 56.0 |
| 2.722 | 100.0 |
| 1.999 | 75.6 |
| 1.925 | 37.0 |
| 1.749 | 23.8 |
| 1.652 | 30.2 |
| 1.611 | 38.5 |
| 1.295 | 33.0 |
| 1.217 | 17.1 |
| 1.125 | 25.4 |

a = 5.443 Å, b = 5.443 Å, c = 11.778 Å
α = 90.00°, β = 90.00°, γ = 90.00°
Space group I4/mmm (No. 139)
One atom of each set of equivalent atoms:
Ac 0.000 0.000 0.000 x2
Sn 0.000 0.000 0.500 x2
Pd 0.000 0.000 0.276 x4
Pb 0.000 0.500 0.250 x4


For Ac2TlPd6Pb3, the GGA-PBE geometry in Alexandria gives the computed powder XRD pattern in this record (Cu Ka).

Largest 12 diffraction maxima, in order of rising 2θ, 15° ≤ 2θ ≤ 90°:
| d [Å] | I/Imax |
| --- | --- |
| 3.458 | 100.0 |
| 3.000 | 41.9 |
| 2.959 | 20.1 |
| 2.492 | 22.7 |
| 2.190 | 40.0 |
| 2.121 | 54.3 |
| 2.116 | 56.5 |
| 1.808 | 33.9 |
| 1.524 | 25.9 |
| 1.500 | 18.2 |
| 1.224 | 20.7 |
| 1.114 | 16.4 |

a = 4.243 Å, b = 4.243 Å, c = 17.902 Å
α = 90.00°, β = 90.00°, γ = 90.00°
Space group P4/mmm (No. 123)
One atom of each set of equivalent atoms:
Ac 0.000 0.000 0.189 x2
Tl 0.000 0.000 0.500 x1
Pd 0.000 0.500 0.399 x4
Pd 0.500 0.500 0.148 x2
Pb 0.500 0.500 0.000 x1
Pb 0.500 0.500 0.304 x2


For Ac2Zn2Pd5Pb, the GGA-PBE geometry in Alexandria gives the computed powder XRD pattern in this record (Cu Ka).

Largest 12 diffraction maxima, in order of rising 2θ, 15° ≤ 2θ ≤ 90°:
| d [Å] | I/Imax |
| --- | --- |
| 3.262 | 8.6 |
| 2.987 | 27.9 |
| 2.670 | 29.6 |
| 2.505 | 100.0 |
| 2.309 | 34.7 |
| 1.960 | 16.6 |
| 1.769 | 6.9 |
| 1.612 | 10.2 |
| 1.574 | 8.6 |
| 1.543 | 17.0 |
| 1.490 | 8.1 |
| 1.251 | 7.2 |

a = 10.315 Å, b = 10.315 Å, c = 3.919 Å
α = 90.00°, β = 90.00°, γ = 90.00°
Space group P4/mbm (No. 127)
One atom of each set of equivalent atoms:
Ac 0.182 0.318 0.000 x4
Zn 0.113 0.613 0.000 x4
Pd 0.000 0.500 0.500 x2
Pd 0.065 0.779 0.500 x8
Pb 0.000 0.000 0.000 x2


For AcPm6Pb6, the GGA-PBE geometry in Alexandria gives the computed powder XRD pattern in this record (Cu Ka).

Largest 12 diffraction maxima, in order of rising 2θ, 15° ≤ 2θ ≤ 90°:
| d [Å] | I/Imax |
| --- | --- |
| 3.689 | 86.4 |
| 3.195 | 56.2 |
| 2.928 | 100.0 |
| 2.868 | 25.6 |
| 2.662 | 86.9 |
| 2.407 | 19.3 |
| 2.252 | 20.6 |
| 2.130 | 20.5 |
| 1.948 | 31.8 |
| 1.845 | 53.8 |
| 1.471 | 28.3 |
| 1.464 | 25.0 |

a = 7.3782 Å, b = 7.3782 Å, c = 9.6268 Å
α = 90.00°, β = 90.00°, γ = 120.00°
Space group P6/mmm (No. 191)
One atom of each set of equivalent atoms:
Ac 0.0000 0.0000 0.0000 x1
Pm 0.0000 0.5000 0.2530 x6
Pb 0.0000 0.0000 0.3420 x2
Pb 0.3333 0.6667 0.0000 x2
Pb 0.3333 0.6667 0.5000 x2


For Ac2Pm2Pb3, the GGA-PBE geometry in Alexandria gives the computed powder XRD pattern in this record (Cu Ka).

Largest 12 diffraction maxima, in order of rising 2θ, 15° ≤ 2θ ≤ 90°:
| d [Å] | I/Imax |
| --- | --- |
| 4.801 | 23.3 |
| 3.499 | 100.0 |
| 3.159 | 43.9 |
| 2.990 | 31.5 |
| 2.568 | 32.2 |
| 2.425 | 38.1 |
| 2.407 | 28.3 |
| 2.272 | 23.5 |
| 2.241 | 14.4 |
| 1.997 | 12.8 |
| 1.915 | 29.7 |
| 1.537 | 12.2 |

a = 16.052 Å, b = 4.814 Å, c = 8.524 Å
α = 90.00°, β = 108.99°, γ = 90.00°
Space group C2/m (No. 12)
One atom of each set of equivalent atoms:
Ac 0.121 0.000 0.385 x4
Pm 0.163 0.500 0.832 x4
Pb 0.000 0.500 0.500 x2
Pb 0.220 0.500 0.226 x4


For Ac3Pm2Pb3, the GGA-PBE geometry in Alexandria gives the computed powder XRD pattern in this record (Cu Ka).

Largest 12 diffraction maxima, in order of rising 2θ, 15° ≤ 2θ ≤ 90°:
| d [Å] | I/Imax |
| --- | --- |
| 2.982 | 100.0 |
| 2.911 | 19.9 |
| 2.659 | 19.5 |
| 2.292 | 13.1 |
| 1.963 | 13.6 |
| 1.801 | 10.1 |
| 1.736 | 11.2 |
| 1.694 | 12.6 |
| 1.590 | 16.0 |
| 1.491 | 11.3 |
| 1.424 | 11.2 |
| 1.135 | 5.6 |

a = 4.584 Å, b = 5.318 Å, c = 23.291 Å
α = 90.00°, β = 90.00°, γ = 90.00°
Space group Immm (No. 71)
One atom of each set of equivalent atoms:
Ac 0.000 0.000 0.000 x2
Ac 0.000 0.500 0.121 x4
Pm 0.000 0.000 0.245 x4
Pb 0.000 0.000 0.500 x2
Pb 0.000 0.500 0.358 x4


For AcPm2Pb2, the GGA-PBE geometry in Alexandria gives the computed powder XRD pattern in this record (Cu Ka).

Largest 12 diffraction maxima, in order of rising 2θ, 15° ≤ 2θ ≤ 90°:
| d [Å] | I/Imax |
| --- | --- |
| 4.535 | 65.4 |
| 3.283 | 100.0 |
| 3.164 | 76.6 |
| 2.941 | 24.3 |
| 2.823 | 48.2 |
| 2.768 | 25.2 |
| 2.613 | 30.5 |
| 2.595 | 23.2 |
| 2.550 | 26.3 |
| 2.490 | 26.1 |
| 2.278 | 56.2 |
| 1.375 | 22.0 |

a = 11.004 Å, b = 12.656 Å, c = 6.570 Å
α = 90.00°, β = 124.48°, γ = 90.00°
Space group C2/c (No. 15)
One atom of each set of equivalent atoms:
Ac 0.000 0.116 0.250 x4
Pm 0.167 0.393 0.964 x8
Pb 0.000 0.162 0.750 x4
Pb 0.000 0.383 0.250 x4